Entry 1:
Structure and simulated XRD peak list of Li3SbO3 (a cell relaxed with GGA-PBE; Cu Kα (weighted mean of Kα1 and Kα2)).

Cell lengths 7.163, 7.163, 7.163 Å; angles 90.00, 90.00, 90.00 degrees
Element x y z (fractional)
Li 0.031 0.469 0.531
Li 0.239 0.761 0.261
Li 0.241 0.741 0.759
Li 0.259 0.259 0.259
Li 0.261 0.239 0.761
Li 0.469 0.531 0.031
Li 0.531 0.031 0.469
Li 0.739 0.739 0.739
Li 0.741 0.759 0.241
Li 0.759 0.241 0.741
Li 0.761 0.261 0.239
Li 0.969 0.969 0.969
Sb 0.023 0.977 0.477
Sb 0.477 0.023 0.977
Sb 0.523 0.523 0.523
Sb 0.977 0.477 0.023
O 0.006 0.741 0.099
O 0.099 0.006 0.741
O 0.241 0.401 0.994
O 0.259 0.599 0.494
O 0.401 0.994 0.241
O 0.494 0.259 0.599
O 0.506 0.759 0.901
O 0.599 0.494 0.259
O 0.741 0.099 0.006
O 0.759 0.901 0.506
O 0.901 0.506 0.759
O 0.994 0.241 0.401

Top 6 peaks for 2θ = 10–80°, low angle first:
- 21.49°, 4.136 Å, I = 100
- 24.86°, 3.582 Å, I = 54
- 35.44°, 2.533 Å, I = 38
- 39.79°, 2.265 Å, I = 15
- 41.82°, 2.160 Å, I = 41
- 63.64°, 1.462 Å, I = 15

Entry 2:
Structure and simulated XRD peak list of AlInAg2S4 (a cell relaxed with GGA-PBE; Cu Kα (weighted mean of Kα1 and Kα2)).

Cell lengths 5.843, 5.843, 10.994 Å; angles 90.00, 90.00, 90.00 degrees
Element x y z (fractional)
Al 0.000 0.000 0.000
Al 0.500 0.500 0.500
In 0.000 0.500 0.250
In 0.500 0.000 0.750
Ag 0.000 0.000 0.500
Ag 0.000 0.500 0.750
Ag 0.500 0.000 0.250
Ag 0.500 0.500 0.000
S 0.223 0.767 0.117
S 0.233 0.223 0.883
S 0.267 0.277 0.383
S 0.277 0.733 0.617
S 0.723 0.267 0.617
S 0.733 0.723 0.383
S 0.767 0.777 0.883
S 0.777 0.233 0.117

Top 6 peaks for 2θ = 10–80°, low angle first:
- 27.00°, 3.303 Å, I = 100
- 30.60°, 2.922 Å, I = 13
- 43.82°, 2.066 Å, I = 20
- 45.30°, 2.002 Å, I = 37
- 52.23°, 1.752 Å, I = 29
- 54.80°, 1.675 Å, I = 13

Entry 3:
Structure and simulated XRD peak list of Cs3NaLi2B2O6 (a cell relaxed with GGA-PBE; Cu Kα (weighted mean of Kα1 and Kα2)).

Cell lengths 6.815, 7.418, 10.397 Å; angles 96.61, 101.49, 103.87 degrees
Element x y z (fractional)
Cs 0.147 0.269 0.424
Cs 0.286 0.774 0.371
Cs 0.317 0.696 0.017
Cs 0.683 0.304 0.983
Cs 0.714 0.226 0.629
Cs 0.853 0.731 0.576
Na 0.173 0.173 0.084
Na 0.827 0.827 0.916
Li 0.274 0.402 0.741
Li 0.298 0.910 0.736
Li 0.702 0.090 0.264
Li 0.726 0.598 0.259
B 0.151 0.131 0.813
B 0.468 0.687 0.718
B 0.532 0.313 0.282
B 0.849 0.869 0.187
O 0.122 0.297 0.874
O 0.152 0.975 0.876
O 0.193 0.125 0.685
O 0.252 0.631 0.663
O 0.428 0.122 0.263
O 0.432 0.447 0.239
O 0.568 0.553 0.761
O 0.572 0.878 0.737
O 0.748 0.369 0.337
O 0.807 0.875 0.315
O 0.848 0.025 0.124
O 0.878 0.703 0.126

Top 6 peaks for 2θ = 10–80°, low angle first:
- 18.05°, 4.915 Å, I = 55
- 25.10°, 3.548 Å, I = 100
- 26.38°, 3.379 Å, I = 79
- 27.19°, 3.280 Å, I = 69
- 29.48°, 3.030 Å, I = 73
- 30.19°, 2.961 Å, I = 64

Entry 4:
Structure and simulated XRD peak list of AgHg3As2Cl3 (a cell relaxed with GGA-PBE; Cu Kα (weighted mean of Kα1 and Kα2)).

Cell lengths 13.431, 13.431, 15.192 Å; angles 121.45, 121.45, 40.90 degrees
Element x y z (fractional)
Ag 0.109 0.554 0.226
Ag 0.155 0.845 0.750
Ag 0.446 0.891 0.274
Ag 0.554 0.109 0.726
Ag 0.845 0.155 0.250
Ag 0.891 0.446 0.774
Hg 0.000 0.000 0.000
Hg 0.000 0.000 0.500
Hg 0.043 0.619 0.751
Hg 0.164 0.166 0.498
Hg 0.166 0.164 0.998
Hg 0.300 0.700 0.250
Hg 0.330 0.333 0.999
Hg 0.333 0.330 0.499
Hg 0.381 0.957 0.749
Hg 0.500 0.500 0.000
Hg 0.500 0.500 0.500
Hg 0.619 0.043 0.251
Hg 0.667 0.670 0.501
Hg 0.670 0.667 0.001
Hg 0.700 0.300 0.750
Hg 0.834 0.836 0.002
Hg 0.836 0.834 0.502
Hg 0.957 0.381 0.249
As 0.043 0.756 0.948
As 0.089 0.373 0.447
As 0.244 0.957 0.552
As 0.297 0.570 0.051
As 0.373 0.089 0.947
As 0.430 0.703 0.449
As 0.570 0.297 0.551
As 0.627 0.911 0.053
As 0.703 0.430 0.949
As 0.756 0.043 0.448
As 0.911 0.627 0.553
As 0.957 0.244 0.052
Cl 0.000 0.500 0.000
Cl 0.001 0.847 0.251
Cl 0.117 0.353 0.742
Cl 0.153 0.999 0.249
Cl 0.179 0.699 0.563
Cl 0.301 0.821 0.937
Cl 0.353 0.117 0.242
Cl 0.375 0.396 0.749
Cl 0.396 0.375 0.249
Cl 0.500 0.000 0.500
Cl 0.604 0.625 0.751
Cl 0.625 0.604 0.251
Cl 0.647 0.883 0.758
Cl 0.699 0.179 0.063
Cl 0.821 0.301 0.437
Cl 0.847 0.001 0.751
Cl 0.883 0.647 0.258
Cl 0.999 0.153 0.749

Top 6 peaks for 2θ = 10–80°, low angle first:
- 23.63°, 3.766 Å, I = 88
- 28.29°, 3.155 Å, I = 62
- 28.54°, 3.128 Å, I = 100
- 40.54°, 2.225 Å, I = 37
- 40.71°, 2.216 Å, I = 34
- 46.63°, 1.948 Å, I = 38

Entry 5:
Structure and simulated XRD peak list of NaTbCl4 (a cell relaxed with GGA-PBE; Cu Kα (weighted mean of Kα1 and Kα2)).

Cell lengths 6.716, 6.805, 7.098 Å; angles 89.60, 87.97, 78.43 degrees
Element x y z (fractional)
Na 0.231 0.198 0.035
Na 0.769 0.802 0.965
Tb 0.211 0.700 0.445
Tb 0.789 0.300 0.555
Cl 0.047 0.503 0.741
Cl 0.095 0.002 0.706
Cl 0.388 0.793 0.134
Cl 0.433 0.314 0.382
Cl 0.567 0.686 0.618
Cl 0.612 0.207 0.866
Cl 0.905 0.998 0.294
Cl 0.953 0.497 0.259

Top 6 peaks for 2θ = 10–80°, low angle first:
- 12.48°, 7.093 Å, I = 100
- 16.93°, 5.236 Å, I = 39
- 20.80°, 4.271 Å, I = 51
- 21.37°, 4.158 Å, I = 48
- 30.10°, 2.969 Å, I = 39
- 30.86°, 2.898 Å, I = 41